1.
Diffraction record for SmYZnPd. The powder X-ray diffraction pattern is simulated, not measured: it uses DFT lattice parameters and positions (GGA-PBE) and a wavelength of 1.5418 Å.

a b c (Å): 3.5990 3.5990 7.0817
angles (deg): 90.00 90.00 90.00
Space group P4mm (No. 99)
Inequivalent atoms, fractional coordinates:
1 Sm 0.0000 0.0000 0.0000 [1 per cell]
2 Y 0.0000 0.0000 0.4907 [1 per cell]
3 Zn 0.5000 0.5000 0.7367 [1 per cell]
4 Pd 0.5000 0.5000 0.2546 [1 per cell]

Peak list (10 most intense, 10° ≤ 2θ ≤ 80°, by intensity)
| 2theta | intensity | hkl |
| --- | --- | --- |
| 35.57 | 1000 | 1 0 2 |
| 35.27 | 515 | 1 1 0 |
| 63.49 | 359 | 2 1 2 |
| 50.73 | 180 | 2 0 0 |
| 64.07 | 171 | 1 1 4 |
| 75.30 | 105 | 2 0 4 |
| 51.63 | 83 | 0 0 4 |
| 12.50 | 73 | 0 0 1 |
| 27.81 | 61 | 1 0 1 |
| 74.58 | 56 | 2 2 0 |

=====

2.
Diffraction record for Nd5Ga3. The powder X-ray diffraction pattern is simulated, not measured: it uses DFT lattice parameters and positions (GGA-PBE) and a wavelength of 1.5418 Å.

a b c (Å): 7.8773 7.8773 14.6358
angles (deg): 90.00 90.00 90.00
Space group P4/ncc (No. 130, origin choice 2)
Inequivalent atoms, fractional coordinates:
1 Nd 0.0641 0.5924 0.1034 [16 per cell]
2 Nd 0.2500 0.2500 0.2186 [4 per cell]
3 Ga 0.1305 0.6305 0.7500 [8 per cell]
4 Ga 0.2500 0.2500 0.0056 [4 per cell]

Peak list (10 most intense, 10° ≤ 2θ ≤ 80°, by intensity)
| 2theta | intensity | hkl |
| --- | --- | --- |
| 31.32 | 1000 | 2 1 3 |
| 36.06 | 427 | 3 1 0 |
| 33.43 | 364 | 2 0 4 |
| 51.36 | 164 | 4 1 3 |
| 26.02 | 157 | 2 1 1 |
| 32.14 | 140 | 2 2 0 |
| 55.50 | 135 | 3 3 4 |
| 48.01 | 120 | 4 1 1 |
| 50.77 | 118 | 2 1 7 |
| 29.20 | 103 | 1 1 4 |